# 1
Computed powder X-ray diffraction pattern of Mg3Ga3Cu2 for Cu Kα (weighted mean of Kα1 and Kα2), from a DFT-relaxed cell (GGA-PBE, Alexandria).
Neutral-atom scattering factors, no anomalous dispersion.

Cell and atoms:
```
data_Mg3Ga3Cu2
_chemical_formula_sum 'Mg12 Ga12 Cu8'
_cell_length_a 4.179
_cell_length_b 9.714
_cell_length_c 13.806
_cell_angle_alpha 90.00
_cell_angle_beta 90.00
_cell_angle_gamma 90.00
_space_group_name_H-M_alt 'C m c m'
_space_group_IT_number 63
_space_group_name_Hall '-C 2c 2'
loop_
_atom_site_label
_atom_site_fract_x
_atom_site_fract_y
_atom_site_fract_z
Mg1 0.000 0.075 0.113
Mg2 0.000 0.350 0.250
Ga1 0.000 0.362 0.750
Ga2 0.000 0.375 0.038
Cu1 0.000 0.212 0.608
```

Largest 10 diffraction maxima, by intensity, 2θ from 10° to 90°:
hkl 1 1 4, 2θ = 34.97°, I 100.0
hkl 1 3 3, 2θ = 40.31°, I 94.7
hkl 0 2 3, 2θ = 26.68°, I 62.0
hkl 2 0 0, 2θ = 43.30°, I 58.1
hkl 1 3 4, 2θ = 44.04°, I 56.9
hkl 1 1 7, 2θ = 52.14°, I 43.3
hkl 1 1 1, 2θ = 24.06°, I 37.5
hkl 0 2 0, 2θ = 18.26°, I 35.6
hkl 0 0 2, 2θ = 12.82°, I 29.0
hkl 0 4 4, 2θ = 45.68°, I 28.7

# 2
Computed powder X-ray diffraction pattern of CaPmMgAg for Cu Kα (weighted mean of Kα1 and Kα2), from a DFT-relaxed cell (GGA-PBE, Alexandria).
Neutral-atom scattering factors, no anomalous dispersion.

Cell and atoms:
```
data_CaPmMgAg
_chemical_formula_sum 'Ca1 Pm1 Mg1 Ag1'
_cell_length_a 3.793
_cell_length_b 3.793
_cell_length_c 7.700
_cell_angle_alpha 90.00
_cell_angle_beta 90.00
_cell_angle_gamma 90.00
_space_group_name_H-M_alt 'P 4 m m'
_space_group_IT_number 99
loop_
_space_group_symop_operation_xyz
'x,y,z'
'-y,x,z'
'-x,-y,z'
'y,-x,z'
'-x,y,z'
'y,x,z'
'x,-y,z'
'-y,-x,z'
loop_
_atom_site_label
_atom_site_fract_x
_atom_site_fract_y
_atom_site_fract_z
Ca1 0.000 0.000 0.000
Pm1 0.000 0.000 0.469
Mg1 0.500 0.500 0.728
Ag1 0.500 0.500 0.241
```

Largest 10 diffraction maxima, by intensity, 2θ from 10° to 90°:
hkl 1 0 2, 2θ = 33.16°, I 100.0
hkl 0 0 1, 2θ = 11.49°, I 64.2
hkl 1 1 0, 2θ = 33.41°, I 50.2
hkl 2 1 2, 2θ = 59.55°, I 35.3
hkl 1 0 1, 2θ = 26.19°, I 24.7
hkl 1 1 1, 2θ = 35.44°, I 18.4
hkl 2 0 0, 2θ = 47.97°, I 17.7
hkl 1 1 4, 2θ = 59.07°, I 16.8
hkl 1 0 3, 2θ = 42.53°, I 16.1
hkl 2 0 4, 2θ = 69.59°, I 10.1

# 3
Computed powder X-ray diffraction pattern of La3Pr3Nd2 for Cu Kα (weighted mean of Kα1 and Kα2), from a DFT-relaxed cell (GGA-PBE, Alexandria).
Neutral-atom scattering factors, no anomalous dispersion.

Cell and atoms:
```
data_La3Pr3Nd2
_chemical_formula_sum 'La6 Pr6 Nd4'
_cell_length_a 5.253
_cell_length_b 5.257
_cell_length_c 20.993
_cell_angle_alpha 90.00
_cell_angle_beta 90.00
_cell_angle_gamma 90.00
_space_group_name_H-M_alt 'I m m m'
_space_group_IT_number 71
_space_group_name_Hall '-I 2 2'
loop_
_atom_site_label
_atom_site_fract_x
_atom_site_fract_y
_atom_site_fract_z
La1 0.000 0.000 0.000
La2 0.000 0.500 0.125
Pr1 0.000 0.000 0.500
Pr2 0.000 0.500 0.373
Nd1 0.000 0.000 0.249
```

Largest 10 diffraction maxima, by intensity, 2θ from 10° to 90°:
hkl 1 1 4, 2θ = 29.45°, I 100.0
hkl 2 0 0, 2θ = 34.14°, I 50.7
hkl 3 1 4, 2θ = 58.26°, I 43.5
hkl 2 2 0, 2θ = 49.05°, I 36.4
hkl 3 3 4, 2θ = 79.55°, I 17.5
hkl 2 2 8, 2θ = 61.12°, I 12.5
hkl 4 2 0, 2θ = 82.02°, I 10.9
hkl 2 0 16, 2θ = 82.11°, I 5.4
hkl 4 0 0, 2θ = 71.86°, I 3.9
hkl 0 0 16, 2θ = 71.97°, I 1.9

# 4
Computed powder X-ray diffraction pattern of Ce3SmTh2 for Cu Kα (weighted mean of Kα1 and Kα2), from a DFT-relaxed cell (GGA-PBE, Alexandria).
Neutral-atom scattering factors, no anomalous dispersion.

Cell and atoms:
```
data_Ce3SmTh2
_chemical_formula_sum 'Ce6 Sm2 Th4'
_cell_length_a 6.577
_cell_length_b 6.684
_cell_length_c 9.440
_cell_angle_alpha 95.96
_cell_angle_beta 94.30
_cell_angle_gamma 118.42
_space_group_name_H-M_alt 'P -1'
_space_group_IT_number 2
loop_
_space_group_symop_operation_xyz
'x,y,z'
'-x,-y,-z'
loop_
_atom_site_label
_atom_site_fract_x
_atom_site_fract_y
_atom_site_fract_z
Ce1 0.079 0.298 0.243
Ce2 0.255 0.043 0.093
Ce3 0.404 0.626 0.577
Sm1 0.430 0.165 0.751
Th1 0.095 0.835 0.415
Th2 0.233 0.499 0.914
```

Largest 10 diffraction maxima, by intensity, 2θ from 10° to 90°:
hkl 2 -2 0, 2θ = 31.42°, I 100.0
hkl 1 -1 3, 2θ = 32.71°, I 97.1
hkl -1 1 3, 2θ = 33.12°, I 89.9
hkl 0 2 1, 2θ = 33.76°, I 79.5
hkl 1 1 -2, 2θ = 30.09°, I 76.1
hkl 1 1 1, 2θ = 29.95°, I 53.0
hkl 2 0 1, 2θ = 34.06°, I 52.4
hkl 4 0 -1, 2θ = 64.45°, I 37.5
hkl 2 0 -2, 2θ = 34.38°, I 28.9
hkl -3 1 2, 2θ = 44.59°, I 27.4

# 5
Computed powder X-ray diffraction pattern of LuReB2 for Cu Kα (weighted mean of Kα1 and Kα2), from a DFT-relaxed cell (GGA-PBE, Alexandria).
Neutral-atom scattering factors, no anomalous dispersion.

Cell and atoms:
```
data_LuReB2
_chemical_formula_sum 'Lu3 Re3 B6'
_cell_length_a 3.2560
_cell_length_b 3.2560
_cell_length_c 16.9213
_cell_angle_alpha 90.00
_cell_angle_beta 90.00
_cell_angle_gamma 120.00
_space_group_name_H-M_alt 'R -3 m'
_space_group_IT_number 166
_space_group_name_Hall '-R 3 2"'
loop_
_atom_site_label
_atom_site_fract_x
_atom_site_fract_y
_atom_site_fract_z
Lu1 0.0000 0.0000 0.0000
Re1 0.0000 0.0000 0.5000
B1 0.0000 0.0000 0.2364
```

Largest 10 diffraction maxima, by intensity, 2θ from 10° to 90°:
hkl 0 1 2, 2θ = 33.50°, I 100.0
hkl 1 0 4, 2θ = 38.36°, I 82.6
hkl 0 0 6, 2θ = 31.73°, I 38.8
hkl 0 0 12, 2θ = 66.29°, I 34.6
hkl 0 1 8, 2θ = 54.21°, I 30.0
hkl 1 1 0, 2θ = 56.53°, I 26.9
hkl 1 0 10, 2θ = 64.19°, I 16.3
hkl 0 2 4, 2θ = 70.39°, I 14.0
hkl 2 0 2, 2θ = 67.33°, I 13.8
hkl 2 0 8, 2θ = 82.16°, I 9.2

# 6
Computed powder X-ray diffraction pattern of Nb13In3 for Cu Kα (weighted mean of Kα1 and Kα2), from a DFT-relaxed cell (GGA-PBE, Alexandria).
Neutral-atom scattering factors, no anomalous dispersion.

Cell and atoms:
```
data_Nb13In3
_chemical_formula_sum 'Nb26 In6'
_cell_length_a 6.863
_cell_length_b 9.355
_cell_length_c 9.438
_cell_angle_alpha 90.00
_cell_angle_beta 90.00
_cell_angle_gamma 90.00
_space_group_name_H-M_alt 'A m m 2'
_space_group_IT_number 38
loop_
_space_group_symop_operation_xyz
'x,y,z'
'-x,-y,z'
'-x,y,z'
'x,-y,z'
'x,y+1/2,z+1/2'
'-x,-y+1/2,z+1/2'
'-x,y+1/2,z+1/2'
'x,-y+1/2,z+1/2'
loop_
_atom_site_label
_atom_site_fract_x
_atom_site_fract_y
_atom_site_fract_z
Nb1 0.000 0.000 0.000
Nb2 0.000 0.000 0.514
Nb3 0.000 0.239 0.755
Nb4 0.244 0.000 0.757
Nb5 0.245 0.245 0.509
Nb6 0.500 0.000 0.517
Nb7 0.500 0.239 0.752
In1 0.247 0.000 0.262
In2 0.500 0.000 0.001
```

Largest 10 diffraction maxima, by intensity, 2θ from 10° to 90°:
hkl 2 2 2, 2θ = 37.69°, I 100.0
hkl 0 0 4, 2θ = 38.14°, I 24.1
hkl 0 4 0, 2θ = 38.49°, I 23.3
hkl 2 2 6, 2θ = 68.63°, I 15.9
hkl 0 4 4, 2θ = 55.31°, I 15.6
hkl 2 6 2, 2θ = 69.10°, I 15.4
hkl 4 4 4, 2θ = 80.48°, I 10.1
hkl 4 0 0, 2θ = 53.40°, I 8.9
hkl 4 0 4, 2θ = 67.50°, I 8.5
hkl 4 4 0, 2θ = 67.74°, I 8.4

# 7
Computed powder X-ray diffraction pattern of CdIn10Hg4 for Cu Kα (weighted mean of Kα1 and Kα2), from a DFT-relaxed cell (GGA-PBE, Alexandria).
Neutral-atom scattering factors, no anomalous dispersion.

Cell and atoms:
```
data_CdIn10Hg4
_chemical_formula_sum 'Cd1 In10 Hg4'
_cell_length_a 3.866
_cell_length_b 4.466
_cell_length_c 23.416
_cell_angle_alpha 94.95
_cell_angle_beta 92.00
_cell_angle_gamma 91.38
_space_group_name_H-M_alt 'P -1'
_space_group_IT_number 2
loop_
_space_group_symop_operation_xyz
'x,y,z'
'-x,-y,-z'
loop_
_atom_site_label
_atom_site_fract_x
_atom_site_fract_y
_atom_site_fract_z
Cd1 0.000 0.000 0.000
In1 0.067 0.954 0.132
In2 0.138 0.868 0.266
In3 0.264 0.742 0.533
In4 0.334 0.652 0.667
In5 0.461 0.532 0.933
Hg1 0.201 0.805 0.400
Hg2 0.398 0.589 0.800
```

Largest 10 diffraction maxima, by intensity, 2θ from 10° to 90°:
hkl -1 1 1, 2θ = 30.59°, I 100.0
hkl 1 1 0, 2θ = 31.08°, I 95.9
hkl 0 1 -7, 2θ = 32.14°, I 87.8
hkl 1 0 7, 2θ = 36.27°, I 63.7
hkl 1 0 -8, 2θ = 37.98°, I 56.0
hkl 0 1 8, 2θ = 38.38°, I 54.3
hkl 0 2 1, 2θ = 41.11°, I 44.2
hkl 2 0 -1, 2θ = 47.07°, I 30.3
hkl 1 -2 6, 2θ = 51.18°, I 24.1
hkl 1 2 -7, 2θ = 53.12°, I 20.6

# 8
Computed powder X-ray diffraction pattern of Rb2Ba8CaSb6O2 for Cu Kα (weighted mean of Kα1 and Kα2), from a DFT-relaxed cell (GGA-PBE, Alexandria).
Neutral-atom scattering factors, no anomalous dispersion.

Cell and atoms:
```
data_Rb2Ba8CaSb6O2
_chemical_formula_sum 'Rb8 Ba32 Ca4 Sb24 O8'
_cell_length_a 13.659
_cell_length_b 17.073
_cell_length_c 12.937
_cell_angle_alpha 90.00
_cell_angle_beta 90.00
_cell_angle_gamma 90.00
_space_group_name_H-M_alt 'F m m 2'
_space_group_IT_number 42
_space_group_name_Hall 'F 2 -2'
loop_
_atom_site_label
_atom_site_fract_x
_atom_site_fract_y
_atom_site_fract_z
Rb1 0.238 0.000 0.000
Ba1 0.000 0.136 0.133
Ba2 0.000 0.203 0.430
Ba3 0.156 0.150 0.746
Ca1 0.000 0.000 0.408
Sb1 0.000 0.000 0.639
Sb2 0.000 0.000 0.864
Sb3 0.157 0.000 0.254
Sb4 0.250 0.250 0.007
O1 0.000 0.245 0.754
```

Largest 10 diffraction maxima, by intensity, 2θ from 10° to 90°:
hkl 3 3 1, 2θ = 25.99°, I 100.0
hkl 1 3 3, 2θ = 26.75°, I 53.3
hkl 2 0 4, 2θ = 30.58°, I 42.5
hkl 4 0 2, 2θ = 29.58°, I 31.8
hkl 0 4 2, 2θ = 24.99°, I 23.3
hkl 4 4 0, 2θ = 33.57°, I 21.4
hkl 2 4 2, 2θ = 28.25°, I 21.3
hkl 0 8 0, 2θ = 42.30°, I 16.2
hkl 1 5 5, 2θ = 44.43°, I 15.9
hkl 0 6 0, 2θ = 31.44°, I 13.4

# 9
Computed powder X-ray diffraction pattern of La6CoHg2C for Cu Kα (weighted mean of Kα1 and Kα2), from a DFT-relaxed cell (GGA-PBE, Alexandria).
Neutral-atom scattering factors, no anomalous dispersion.

Cell and atoms:
```
data_La6CoHg2C
_chemical_formula_sum 'La6 Co1 Hg2 C1'
_cell_length_a 7.369
_cell_length_b 7.375
_cell_length_c 7.379
_cell_angle_alpha 61.42
_cell_angle_beta 61.42
_cell_angle_gamma 61.30
_space_group_name_H-M_alt 'P -1'
_space_group_IT_number 2
loop_
_space_group_symop_operation_xyz
'x,y,z'
'-x,-y,-z'
loop_
_atom_site_label
_atom_site_fract_x
_atom_site_fract_y
_atom_site_fract_z
La1 0.167 0.257 0.317
La2 0.244 0.185 0.830
La3 0.316 0.668 0.761
Co1 0.500 0.000 0.500
Hg1 0.243 0.744 0.241
C1 0.000 0.500 0.000
```

Largest 10 diffraction maxima, by intensity, 2θ from 10° to 90°:
hkl 0 2 0, 2θ = 29.16°, I 100.0
hkl 0 2 2, 2θ = 34.05°, I 88.6
hkl 2 0 1, 2θ = 28.04°, I 59.7
hkl 2 2 2, 2θ = 30.00°, I 46.3
hkl 2 4 2, 2θ = 49.46°, I 29.5
hkl 4 2 3, 2θ = 52.08°, I 20.3
hkl 3 4 0, 2θ = 62.96°, I 15.7
hkl 1 2 -2, 2θ = 50.71°, I 13.9
hkl 0 2 -1, 2θ = 36.80°, I 13.6
hkl 1 -2 1, 2θ = 41.54°, I 12.6

# 10
Computed powder X-ray diffraction pattern of Tm4AsSe3 for Cu Kα (weighted mean of Kα1 and Kα2), from a DFT-relaxed cell (GGA-PBE, Alexandria).
Neutral-atom scattering factors, no anomalous dispersion.

Cell and atoms:
```
data_Tm4AsSe3
_chemical_formula_sum 'Tm4 As1 Se3'
_cell_length_a 5.690
_cell_length_b 5.690
_cell_length_c 5.690
_cell_angle_alpha 90.00
_cell_angle_beta 90.00
_cell_angle_gamma 90.00
_space_group_name_H-M_alt 'P m -3 m'
_space_group_IT_number 221
_space_group_name_Hall '-P 4 2 3'
loop_
_atom_site_label
_atom_site_fract_x
_atom_site_fract_y
_atom_site_fract_z
Tm1 0.000 0.000 0.000
Tm2 0.000 0.500 0.500
As1 0.500 0.500 0.500
Se1 0.000 0.000 0.500
```

Largest 10 diffraction maxima, by intensity, 2θ from 10° to 90°:
hkl 2 0 0, 2θ = 31.45°, I 100.0
hkl 2 2 0, 2θ = 45.07°, I 74.0
hkl 4 2 0, 2θ = 74.59°, I 33.3
hkl 2 2 2, 2θ = 55.98°, I 26.0
hkl 4 2 2, 2θ = 83.17°, I 25.4
hkl 1 1 1, 2θ = 27.14°, I 24.5
hkl 3 1 1, 2θ = 53.41°, I 12.1
hkl 4 0 0, 2θ = 65.63°, I 12.1
hkl 3 3 1, 2θ = 72.40°, I 4.9
hkl 5 1 1, 2θ = 89.50°, I 4.0

# 11
Computed powder X-ray diffraction pattern of TbThB2O8 for Cu Kα (weighted mean of Kα1 and Kα2), from a DFT-relaxed cell (GGA-PBE, Alexandria).
Neutral-atom scattering factors, no anomalous dispersion.

Cell and atoms:
```
data_TbThB2O8
_chemical_formula_sum 'Tb2 Th2 B4 O16'
_cell_length_a 4.731
_cell_length_b 4.731
_cell_length_c 11.503
_cell_angle_alpha 90.00
_cell_angle_beta 90.00
_cell_angle_gamma 90.00
_space_group_name_H-M_alt 'I -4'
_space_group_IT_number 82
loop_
_space_group_symop_operation_xyz
'x,y,z'
'y,-x,-z'
'-x,-y,z'
'-y,x,-z'
'x+1/2,y+1/2,z+1/2'
'y+1/2,-x+1/2,-z+1/2'
'-x+1/2,-y+1/2,z+1/2'
'-y+1/2,x+1/2,-z+1/2'
loop_
_atom_site_label
_atom_site_fract_x
_atom_site_fract_y
_atom_site_fract_z
Tb1 0.000 0.000 0.000
Th1 0.000 0.500 0.250
B1 0.000 0.000 0.500
B2 0.000 0.500 0.750
O1 0.097 0.745 0.820
O2 0.106 0.243 0.432
```

Largest 10 diffraction maxima, by intensity, 2θ from 10° to 90°:
hkl 1 1 2, 2θ = 30.92°, I 100.0
hkl 1 0 1, 2θ = 20.30°, I 96.9
hkl 2 1 1, 2θ = 43.49°, I 40.3
hkl 1 2 3, 2θ = 49.18°, I 32.6
hkl 1 0 3, 2θ = 30.00°, I 31.0
hkl 2 0 4, 2θ = 49.92°, I 26.9
hkl 1 3 2, 2θ = 64.34°, I 24.4
hkl 1 0 5, 2θ = 43.75°, I 23.6
hkl 2 0 0, 2θ = 38.04°, I 22.1
hkl 0 0 4, 2θ = 31.10°, I 21.7

# 12
Computed powder X-ray diffraction pattern of Tb2Nd8Ho3 for Cu Kα (weighted mean of Kα1 and Kα2), from a DFT-relaxed cell (GGA-PBE, Alexandria).
Neutral-atom scattering factors, no anomalous dispersion.

Cell and atoms:
```
data_Tb2Nd8Ho3
_chemical_formula_sum 'Tb4 Nd16 Ho6'
_cell_length_a 20.472
_cell_length_b 7.722
_cell_length_c 5.735
_cell_angle_alpha 90.00
_cell_angle_beta 90.02
_cell_angle_gamma 90.00
_space_group_name_H-M_alt 'C 1 2/m 1'
_space_group_IT_number 12
loop_
_space_group_symop_operation_xyz
'x,y,z'
'-x,-y,-z'
'-x,y,-z'
'x,-y,z'
'x+1/2,y+1/2,z'
'-x+1/2,-y+1/2,-z'
'-x+1/2,y+1/2,-z'
'x+1/2,-y+1/2,z'
loop_
_atom_site_label
_atom_site_fract_x
_atom_site_fract_y
_atom_site_fract_z
Tb1 0.240 0.000 0.499
Nd1 0.105 0.295 0.500
Nd2 0.131 0.000 0.000
Nd3 0.173 0.500 0.001
Ho1 0.000 0.000 0.500
Ho2 0.000 0.285 0.000
```

Largest 10 diffraction maxima, by intensity, 2θ from 10° to 90°:
hkl 4 2 -1, 2θ = 32.99°, I 100.0
hkl 0 0 2, 2θ = 31.19°, I 44.6
hkl 5 1 1, 2θ = 29.19°, I 42.0
hkl 6 0 -1, 2θ = 30.48°, I 34.9
hkl 2 2 0, 2θ = 24.64°, I 23.7
hkl 8 0 0, 2θ = 35.10°, I 22.7
hkl 4 2 -3, 2θ = 56.66°, I 21.4
hkl 2 2 -2, 2θ = 40.15°, I 13.1
hkl 9 3 2, 2θ = 63.49°, I 12.3
hkl 10 2 -2, 2θ = 60.51°, I 11.4

# 13
Computed powder X-ray diffraction pattern of UCl4O for Cu Kα (weighted mean of Kα1 and Kα2), from a DFT-relaxed cell (GGA-PBE, Alexandria).
Neutral-atom scattering factors, no anomalous dispersion.

Cell and atoms:
```
data_UCl4O
_chemical_formula_sum 'U2 Cl8 O2'
_cell_length_a 9.778
_cell_length_b 9.778
_cell_length_c 4.119
_cell_angle_alpha 90.00
_cell_angle_beta 90.00
_cell_angle_gamma 90.00
_space_group_name_H-M_alt 'I 4/m'
_space_group_IT_number 87
_space_group_name_Hall '-I 4'
loop_
_atom_site_label
_atom_site_fract_x
_atom_site_fract_y
_atom_site_fract_z
U1 0.000 0.000 0.000
Cl1 0.059 0.753 0.000
O1 0.000 0.000 0.500
```

Largest 10 diffraction maxima, by intensity, 2θ from 10° to 90°:
hkl 1 1 0, 2θ = 12.80°, I 100.0
hkl 1 0 1, 2θ = 23.43°, I 65.5
hkl 2 0 0, 2θ = 18.14°, I 37.7
hkl 3 1 0, 2θ = 28.87°, I 33.1
hkl 0 0 2, 2θ = 44.04°, I 31.6
hkl 2 1 1, 2θ = 29.80°, I 20.6
hkl 3 4 1, 2θ = 51.73°, I 19.0
hkl 3 0 1, 2θ = 35.11°, I 16.9
hkl 4 2 0, 2θ = 41.29°, I 15.9
hkl 3 2 1, 2θ = 39.79°, I 14.5